Simulated X-ray powder pattern
Compound: PmEr2Tm7
Radiation: copper Kα
Structure: DFT lattice parameters and positions (PBE)

Main lines, low angle first (10° ≤ 2θ ≤ 90°):
index	two_theta	d/Å	Rel. int.
2 0 1	31.25	2.863	100
2 2 0	36.23	2.479	51
1 4 1	52.13	1.754	18
3 2 3	52.22	1.752	18
2 4 -1	61.99	1.497	7
4 2 1	62.09	1.495	28
5 2 4	85.41	1.137	10
5 4 3	88.13	1.108	10

Atomic structure:
```
data_PmEr2Tm7
_chemical_formula_sum 'Pm1 Er2 Tm7'
_symmetry_space_group_name_H-M 'P -1'
_symmetry_Int_Tables_number 2
_symmetry_space_group_name_Hall '-P 1'
_cell_length_a 6.068
_cell_length_b 7.022
_cell_length_c 7.830
_cell_angle_alpha 77.14
_cell_angle_beta 75.05
_cell_angle_gamma 73.28
loop_
_atom_site_label
_atom_site_fract_x
_atom_site_fract_y
_atom_site_fract_z
Pm1 0.000 0.000 0.000
Er1 0.200 0.300 0.600
Tm1 0.000 0.500 0.000
Tm2 0.201 0.799 0.600
Tm3 0.400 0.100 0.201
Tm4 0.401 0.599 0.201
```



Simulated X-ray powder pattern
Compound: Pm4ErTm2
Radiation: copper Kα
Structure: DFT lattice parameters and positions (PBE)

Main lines, low angle first (10° ≤ 2θ ≤ 90°):
index	two_theta	d/Å	Rel. int.
0 2 2	28.74	3.106	17
1 7 1	30.41	2.939	100
4 2 0	30.99	2.886	31
2 0 2	31.68	2.825	62
3 5 1	32.40	2.763	34
2 2 2	32.56	2.750	25
3 7 1	37.33	2.409	26
1 7 3	50.82	1.797	20

Atomic structure:
```
data_Pm4ErTm2
_chemical_formula_sum 'Pm32 Er8 Tm16'
_symmetry_space_group_name_H-M 'F d d 2'
_symmetry_Int_Tables_number 43
_symmetry_space_group_name_Hall 'F 2 -2d'
_cell_length_a 11.890
_cell_length_b 24.092
_cell_length_c 6.421
_cell_angle_alpha 90.00
_cell_angle_beta 90.00
_cell_angle_gamma 90.00
loop_
_atom_site_label
_atom_site_fract_x
_atom_site_fract_y
_atom_site_fract_z
Pm1 0.053 0.070 0.000
Pm2 0.070 0.144 0.531
Er1 0.000 0.000 0.495
Tm1 0.025 0.216 0.057
```



Simulated X-ray powder pattern
Compound: Pm5ErTm2
Radiation: copper Kα
Structure: DFT lattice parameters and positions (PBE)

Main lines, low angle first (10° ≤ 2θ ≤ 90°):
index	two_theta	d/Å	Rel. int.
0 1 -3	29.43	3.035	40
2 1 0	31.33	2.855	77
0 2 2	31.36	2.852	56
2 -2 1	31.78	2.815	67
0 3 -1	31.99	2.798	100
-2 1 2	32.21	2.779	52
1 0 3	33.83	2.650	21
-2 4 1	47.69	1.907	19

Atomic structure:
```
data_Pm5ErTm2
_chemical_formula_sum 'Pm10 Er2 Tm4'
_symmetry_space_group_name_H-M 'P 1'
_symmetry_Int_Tables_number 1
_symmetry_space_group_name_Hall 'P 1'
_cell_length_a 6.826
_cell_length_b 8.680
_cell_length_c 9.319
_cell_angle_alpha 98.40
_cell_angle_beta 94.92
_cell_angle_gamma 102.55
loop_
_atom_site_label
_atom_site_fract_x
_atom_site_fract_y
_atom_site_fract_z
Pm1 0.000 0.000 0.000
Pm2 0.034 0.848 0.594
Pm3 0.079 0.743 0.220
Pm4 0.215 0.504 0.497
Pm5 0.306 0.242 0.759
Pm6 0.506 0.993 0.065
Pm7 0.557 0.890 0.691
Pm8 0.709 0.482 0.591
Pm9 0.778 0.380 0.230
Pm10 0.829 0.277 0.856
Er1 0.162 0.639 0.861
Er2 0.589 0.742 0.325
Tm1 0.276 0.393 0.123
Tm2 0.369 0.123 0.393
Tm3 0.654 0.621 0.953
Tm4 0.877 0.127 0.452
```



Simulated X-ray powder pattern
Compound: PmErTm3
Radiation: copper Kα
Structure: DFT lattice parameters and positions (PBE)

Main lines, low angle first (10° ≤ 2θ ≤ 90°):
index	two_theta	d/Å	Rel. int.
1 0 -3	28.65	3.116	24
0 2 0	32.04	2.794	24
2 1 -1	32.91	2.722	100
1 2 -3	43.51	2.080	16
2 3 -1	57.66	1.599	20
3 2 1	61.28	1.513	23
2 1 -6	61.82	1.501	16
5 1 -5	83.97	1.152	14

Atomic structure:
```
data_PmErTm3
_chemical_formula_sum 'Pm2 Er2 Tm6'
_symmetry_space_group_name_H-M 'P 1 21/m 1'
_symmetry_Int_Tables_number 11
_symmetry_space_group_name_Hall '-P 2yb'
_cell_length_a 6.232
_cell_length_b 5.588
_cell_length_c 9.518
_cell_angle_alpha 90.00
_cell_angle_beta 109.07
_cell_angle_gamma 90.00
loop_
_atom_site_label
_atom_site_fract_x
_atom_site_fract_y
_atom_site_fract_z
Pm1 0.068 0.250 0.300
Er1 0.466 0.250 0.099
Tm1 0.135 0.750 0.099
Tm2 0.268 0.250 0.701
Tm3 0.336 0.750 0.501
```



Simulated X-ray powder pattern
Compound: Pm5Er2Tm5
Radiation: copper Kα
Structure: DFT lattice parameters and positions (PBE)

Main lines, low angle first (10° ≤ 2θ ≤ 90°):
index	two_theta	d/Å	Rel. int.
3 1 1	30.79	2.904	100
0 0 4	35.59	2.523	17
0 2 0	35.75	2.512	34
6 0 2	51.33	1.780	24
6 2 -2	51.45	1.776	12
9 1 -5	61.15	1.515	21
6 2 2	64.13	1.452	12
3 3 5	83.80	1.154	9

Atomic structure:
```
data_Pm5Er2Tm5
_chemical_formula_sum 'Pm10 Er4 Tm10'
_symmetry_space_group_name_H-M 'C 1 2/m 1'
_symmetry_Int_Tables_number 12
_symmetry_space_group_name_Hall '-C 2y'
_cell_length_a 15.081
_cell_length_b 5.019
_cell_length_c 11.280
_cell_angle_alpha 90.00
_cell_angle_beta 116.55
_cell_angle_gamma 90.00
loop_
_atom_site_label
_atom_site_fract_x
_atom_site_fract_y
_atom_site_fract_z
Pm1 0.000 0.000 0.000
Pm2 0.084 0.000 0.751
Pm3 0.166 0.000 0.499
Er1 0.083 0.500 0.248
Tm1 0.000 0.500 0.500
Tm2 0.168 0.500 0.001
Tm3 0.249 0.000 0.247
```



Simulated X-ray powder pattern
Compound: Pm7Er3Tm2
Radiation: copper Kα
Structure: DFT lattice parameters and positions (PBE)

Main lines, low angle first (10° ≤ 2θ ≤ 90°):
index	two_theta	d/Å	Rel. int.
0 2 1	29.38	3.040	18
1 1 3	30.88	2.895	20
1 1 -3	30.96	2.888	100
2 0 0	32.57	2.749	52
0 1 4	32.75	2.734	28
1 2 1	33.62	2.666	30
-1 2 1	33.74	2.657	38
3 -1 3	57.16	1.612	12

Atomic structure:
```
data_Pm7Er3Tm2
_chemical_formula_sum 'Pm7 Er3 Tm2'
_symmetry_space_group_name_H-M 'P -1'
_symmetry_Int_Tables_number 2
_symmetry_space_group_name_Hall '-P 1'
_cell_length_a 5.498
_cell_length_b 6.279
_cell_length_c 12.131
_cell_angle_alpha 89.78
_cell_angle_beta 89.94
_cell_angle_gamma 89.77
loop_
_atom_site_label
_atom_site_fract_x
_atom_site_fract_y
_atom_site_fract_z
Pm1 0.000 0.000 0.000
Pm2 0.000 0.441 0.814
Pm3 0.497 0.245 0.545
Pm4 0.500 0.092 0.828
Er1 0.000 0.067 0.343
Er2 0.500 0.500 0.000
Tm1 0.500 0.382 0.276
```



Simulated X-ray powder pattern
Compound: Pm2ErTm12
Radiation: copper Kα
Structure: DFT lattice parameters and positions (PBE)

Main lines, low angle first (10° ≤ 2θ ≤ 90°):
index	two_theta	d/Å	Rel. int.
0 1 7	30.90	2.894	63
1 1 -3	31.41	2.848	100
0 2 0	32.33	2.769	79
1 0 5	32.70	2.738	50
0 1 8	34.26	2.618	42
1 1 4	34.52	2.598	54
1 2 5	46.64	1.948	30
2 2 -1	62.20	1.492	26

Atomic structure:
```
data_Pm2ErTm12
_chemical_formula_sum 'Pm2 Er1 Tm12'
_symmetry_space_group_name_H-M 'P 1 2/m 1'
_symmetry_Int_Tables_number 10
_symmetry_space_group_name_Hall '-P 2y'
_cell_length_a 3.543
_cell_length_b 5.538
_cell_length_c 23.828
_cell_angle_alpha 90.00
_cell_angle_beta 94.25
_cell_angle_gamma 90.00
loop_
_atom_site_label
_atom_site_fract_x
_atom_site_fract_y
_atom_site_fract_z
Pm1 0.142 0.000 0.280
Er1 0.500 0.000 0.000
Tm1 0.032 0.500 0.066
Tm2 0.067 0.000 0.134
Tm3 0.223 0.500 0.445
Tm4 0.285 0.000 0.572
Tm5 0.333 0.500 0.670
Tm6 0.404 0.500 0.809
```



Simulated X-ray powder pattern
Compound: Pm4ErTm3
Radiation: copper Kα
Structure: DFT lattice parameters and positions (PBE)

Main lines, low angle first (10° ≤ 2θ ≤ 90°):
index	two_theta	d/Å	Rel. int.
8 0 0	27.68	3.223	15
7 1 0	28.96	3.083	32
3 1 1	31.12	2.874	100
0 2 0	31.78	2.816	46
6 0 -1	32.30	2.772	24
9 1 0	35.14	2.554	26
6 2 -1	45.94	1.975	18
3 3 1	56.20	1.637	19

Atomic structure:
```
data_Pm4ErTm3
_chemical_formula_sum 'Pm8 Er2 Tm6'
_symmetry_space_group_name_H-M 'C 1 2/m 1'
_symmetry_Int_Tables_number 12
_symmetry_space_group_name_Hall '-C 2y'
_cell_length_a 25.784
_cell_length_b 5.632
_cell_length_c 3.627
_cell_angle_alpha 90.00
_cell_angle_beta 90.04
_cell_angle_gamma 90.00
loop_
_atom_site_label
_atom_site_fract_x
_atom_site_fract_y
_atom_site_fract_z
Pm1 0.102 0.000 0.000
Pm2 0.223 0.000 0.000
Er1 0.000 0.000 0.500
Tm1 0.000 0.500 0.000
Tm2 0.151 0.500 0.500
```



Simulated X-ray powder pattern
Compound: Pm7ErTm3
Radiation: copper Kα
Structure: DFT lattice parameters and positions (PBE)

Main lines, low angle first (10° ≤ 2θ ≤ 90°):
index	two_theta	d/Å	Rel. int.
0 2 1	30.72	2.911	100
0 0 3	31.10	2.876	32
2 0 2	35.73	2.513	66
2 2 0	51.17	1.785	24
0 2 4	51.67	1.769	23
4 0 1	60.87	1.522	14
2 2 3	61.10	1.517	28
2 0 5	61.55	1.507	13

Atomic structure:
```
data_Pm7ErTm3
_chemical_formula_sum 'Pm7 Er1 Tm3'
_symmetry_space_group_name_H-M 'P 3 m 1'
_symmetry_Int_Tables_number 156
_symmetry_space_group_name_Hall 'P 3 -2"'
_cell_length_a 7.1411
_cell_length_b 7.1411
_cell_length_c 8.6272
_cell_angle_alpha 90.00
_cell_angle_beta 90.00
_cell_angle_gamma 120.00
loop_
_atom_site_label
_atom_site_fract_x
_atom_site_fract_y
_atom_site_fract_z
Pm1 0.0000 0.0000 0.0000
Pm2 0.1658 0.3316 0.3334
Pm3 0.5009 0.0018 0.9862
Er1 0.6667 0.3333 0.3214
Tm1 0.3348 0.1674 0.6580
```



Simulated X-ray powder pattern
Compound: Pm6YErTm2
Radiation: copper Kα
Structure: DFT lattice parameters and positions (PBE)

Main lines, low angle first (10° ≤ 2θ ≤ 90°):
index	two_theta	d/Å	Rel. int.
1 3 2	28.31	3.152	56
3 1 -1	30.31	2.948	92
0 2 3	30.55	2.927	100
1 5 0	30.90	2.894	59
2 2 2	31.11	2.875	91
2 4 -1	31.27	2.861	56
1 5 -1	31.97	2.799	34
1 3 -3	33.73	2.657	73

Atomic structure:
```
data_Pm6YErTm2
_chemical_formula_sum 'Pm24 Y4 Er4 Tm8'
_symmetry_space_group_name_H-M 'C 1 2/c 1'
_symmetry_Int_Tables_number 15
_symmetry_space_group_name_Hall '-C 2yc'
_cell_length_a 9.189
_cell_length_b 15.258
_cell_length_c 9.582
_cell_angle_alpha 90.00
_cell_angle_beta 97.12
_cell_angle_gamma 90.00
loop_
_atom_site_label
_atom_site_fract_x
_atom_site_fract_y
_atom_site_fract_z
Pm1 0.060 0.179 0.446
Pm2 0.101 0.392 0.618
Pm3 0.213 0.224 0.813
Y1 0.000 0.027 0.750
Er1 0.000 0.411 0.250
Tm1 0.248 0.449 0.954
```



Simulated X-ray powder pattern
Compound: PmY5Er2Tm
Radiation: copper Kα
Structure: DFT lattice parameters and positions (PBE)

Main lines, low angle first (10° ≤ 2θ ≤ 90°):
index	two_theta	d/Å	Rel. int.
0 6 1	27.94	3.194	14
1 1 3	30.46	2.935	35
2 0 0	31.94	2.802	40
1 5 2	32.27	2.774	100
0 0 4	34.19	2.623	10
3 5 2	57.13	1.612	20
1 11 3	59.36	1.557	10
2 6 5	61.78	1.502	11

Atomic structure:
```
data_PmY5Er2Tm
_chemical_formula_sum 'Pm4 Y20 Er8 Tm4'
_symmetry_space_group_name_H-M 'C m c 21'
_symmetry_Int_Tables_number 36
_symmetry_space_group_name_Hall 'C 2c -2'
_cell_length_a 5.604
_cell_length_b 20.117
_cell_length_c 10.492
_cell_angle_alpha 90.00
_cell_angle_beta 90.00
_cell_angle_gamma 90.00
loop_
_atom_site_label
_atom_site_fract_x
_atom_site_fract_y
_atom_site_fract_z
Pm1 0.000 0.196 0.000
Y1 0.000 0.016 0.008
Y2 0.000 0.278 0.300
Y3 0.000 0.302 0.690
Y4 0.000 0.388 0.010
Y5 0.000 0.479 0.724
Er1 0.000 0.110 0.723
Er2 0.000 0.112 0.303
Tm1 0.000 0.412 0.438
```



Simulated X-ray powder pattern
Compound: Pm2YEr2Tm
Radiation: copper Kα
Structure: DFT lattice parameters and positions (PBE)

Main lines, low angle first (10° ≤ 2θ ≤ 90°):
index	two_theta	d/Å	Rel. int.
2 1 1	31.51	2.839	83
0 2 0	31.82	2.812	100
2 2 0	41.20	2.191	21
2 0 4	45.39	1.998	30
2 3 1	56.50	1.629	31
0 3 3	56.70	1.623	19
4 2 0	62.59	1.484	29
2 4 2	75.45	1.260	13

Atomic structure:
```
data_Pm2YEr2Tm
_chemical_formula_sum 'Pm4 Y2 Er4 Tm2'
_symmetry_space_group_name_H-M 'P m m a'
_symmetry_Int_Tables_number 51
_symmetry_space_group_name_Hall '-P 2a 2a'
_cell_length_a 6.990
_cell_length_b 5.621
_cell_length_c 9.746
_cell_angle_alpha 90.00
_cell_angle_beta 90.00
_cell_angle_gamma 90.00
loop_
_atom_site_label
_atom_site_fract_x
_atom_site_fract_y
_atom_site_fract_z
Pm1 0.000 0.000 0.000
Pm2 0.250 0.500 0.174
Y1 0.000 0.500 0.500
Er1 0.250 0.000 0.332
Er2 0.250 0.500 0.837
Tm1 0.250 0.000 0.661
```